Entry 1:
Starting from DFT lattice parameters and positions (PBE), the powder XRD pattern of DyTm9Sc2 was computed for copper Kα.

Crystal structure
```
12
Lattice="10.901 0.000 0.000 -5.451 9.441 0.000 0.000 0.000 3.419" Properties=species:S:1:pos:R:3 pbc="T T T"
Dy 0.000 0.000 0.000
Tm -2.725 4.720 0.000
Tm 0.000 3.388 1.709
Tm -2.517 7.747 1.709
Tm 2.934 1.694 1.709
Tm 5.451 0.000 0.000
Tm 2.725 4.720 0.000
Tm 2.517 7.747 1.709
Tm 7.967 1.694 1.709
Tm 5.451 6.053 1.709
Sc 0.000 6.294 0.000
Sc 5.451 3.147 0.000
```

Largest 8 diffraction maxima, in order of rising 2θ, 2θ from 5° to 70°:
Position (°2θ), d [Å], I (rel.)
30.9, 2.896, 132
32.3, 2.769, 907
32.9, 2.725, 1000
36.4, 2.469, 169
46.8, 1.942, 301
58.3, 1.582, 305
58.7, 1.573, 160
64.3, 1.448, 289

---

Entry 2:
Starting from DFT lattice parameters and positions (PBE), the powder XRD pattern of DyTm3Sc8 was computed for copper Kα.

Crystal structure
```
12
Lattice="-2.955 5.279 5.451 2.955 -5.279 5.451 2.955 5.279 -5.451" Properties=species:S:1:pos:R:3 pbc="T T T"
Dy 0.000 0.000 0.000
Tm 2.955 2.667 0.000
Tm 0.000 5.279 0.000
Tm 0.000 2.612 5.451
Sc 2.955 -2.635 3.542
Sc 1.485 5.279 -2.707
Sc 1.471 0.000 2.744
Sc 0.000 2.644 1.908
Sc 2.955 2.635 3.542
Sc 1.485 5.279 2.707
Sc 1.471 0.000 8.157
Sc 0.000 7.914 1.908
```

Largest 8 diffraction maxima, in order of rising 2θ, 2θ from 5° to 70°:
Position (°2θ), d [Å], I (rel.)
16.3, 5.451, 240
24.0, 3.703, 1000
32.9, 2.725, 209
33.6, 2.670, 901
34.0, 2.640, 323
34.5, 2.598, 321
49.2, 1.852, 235
55.9, 1.646, 206

---

Entry 3:
Starting from DFT lattice parameters and positions (PBE), the powder XRD pattern of Dy5Tm8Sc was computed for copper Kα.

Crystal structure
```
14
Lattice="7.543 -4.092 0.000 7.543 4.092 0.000 -4.241 0.000 7.092" Properties=species:S:1:pos:R:3 pbc="T T T"
Dy 0.000 0.000 0.000
Dy 3.731 1.224 5.126
Dy 7.114 1.224 1.966
Dy 5.788 -1.378 0.189
Dy 5.057 -1.378 6.903
Tm 0.761 1.889 6.593
Tm -0.916 -0.443 4.805
Tm 3.698 0.406 2.022
Tm 10.084 1.889 0.500
Tm 2.292 -2.074 4.025
Tm 7.147 0.406 5.070
Tm 11.761 -0.443 2.288
Tm 8.553 -2.074 3.067
Sc 5.422 -1.767 3.546
```

Largest 8 diffraction maxima, in order of rising 2θ, 2θ from 5° to 70°:
Position (°2θ), d [Å], I (rel.)
25.4, 3.512, 387
30.8, 2.906, 513
31.3, 2.857, 1000
31.7, 2.819, 413
32.0, 2.795, 731
32.3, 2.770, 546
33.4, 2.680, 352
33.6, 2.670, 884